# 1
Theoretical X-ray diffraction stick pattern of La2Tb4In for a wavelength of 1.5418 Å, from DFT lattice parameters and positions (GGA-PBE).

```
La2Tb4In
1.0
6.5613 0.0000 0.0000
0.0000 6.3244 0.0000
0.0000 0.0000 10.8501
La Tb In
4 8 2
Direct
0.0000 0.2424 0.0464 La
0.0000 0.7576 0.9536 La
0.5000 0.2424 0.4536 La
0.5000 0.7576 0.5464 La
0.0000 0.0695 0.3462 Tb
0.0000 0.9305 0.6538 Tb
0.2500 0.3920 0.7500 Tb
0.2500 0.6080 0.2500 Tb
0.5000 0.0695 0.1538 Tb
0.5000 0.9305 0.8462 Tb
0.7500 0.3920 0.7500 Tb
0.7500 0.6080 0.2500 Tb
0.0000 0.5000 0.5000 In
0.5000 0.5000 0.0000 In
```

Principal peaks in the range 10° ≤ 2θ ≤ 80°, low angle first:
2theta, I (rel.)
28.18, 318
28.43, 433
29.42, 541
30.70, 333
31.59, 553
31.85, 1000
32.50, 769
34.97, 532
36.03, 391
51.50, 228

# 2
Theoretical X-ray diffraction stick pattern of Dy11Cd9Co4 for a wavelength of 1.5418 Å, from DFT lattice parameters and positions (GGA-PBE).

```
Dy11Cd9Co4
1.0
7.2181 -10.8113 0.0000
7.2181 10.8113 0.0000
0.0000 0.0000 3.5747
Dy Cd Co
11 9 4
Direct
0.0000 0.0000 0.0000 Dy
0.0883 0.4191 0.0000 Dy
0.1600 0.8400 0.0000 Dy
0.3121 0.3121 0.0000 Dy
0.3735 0.6265 0.0000 Dy
0.4191 0.0883 0.0000 Dy
0.5809 0.9117 0.0000 Dy
0.6265 0.3735 0.0000 Dy
0.6879 0.6879 0.0000 Dy
0.8400 0.1600 0.0000 Dy
0.9117 0.5809 0.0000 Dy
0.0775 0.2184 0.5000 Cd
0.1563 0.6344 0.5000 Cd
0.2184 0.0775 0.5000 Cd
0.3656 0.8437 0.5000 Cd
0.5000 0.5000 0.5000 Cd
0.6344 0.1563 0.5000 Cd
0.7816 0.9225 0.5000 Cd
0.8437 0.3656 0.5000 Cd
0.9225 0.7816 0.5000 Cd
0.2548 0.4536 0.5000 Co
0.4536 0.2548 0.5000 Co
0.5464 0.7452 0.5000 Co
0.7452 0.5464 0.5000 Co
```

Principal peaks in the range 10° ≤ 2θ ≤ 80°, low angle first:
2theta, I (rel.)
27.73, 106
31.45, 132
33.11, 97
35.19, 417
35.35, 1000
37.60, 149
38.33, 115
50.62, 106
51.10, 145
63.57, 145

# 3
Theoretical X-ray diffraction stick pattern of CsRb2SrBr5 for a wavelength of 1.5418 Å, from DFT lattice parameters and positions (GGA-PBE).

```
CsRb2SrBr5
1.0
-2.9223 4.1616 8.4052
2.9223 -4.1616 8.4052
2.9223 4.1616 -8.4052
Cs Rb Sr Br
1 2 1 5
Direct
0.0000 0.0000 0.0000 Cs
0.2929 0.7929 0.5000 Rb
0.7071 0.2071 0.5000 Rb
0.5000 0.5000 0.0000 Sr
0.1184 0.3679 0.7505 Br
0.3826 0.6321 0.7505 Br
0.5000 0.0000 0.5000 Br
0.6174 0.3679 0.2495 Br
0.8816 0.6321 0.2495 Br
```

Principal peaks in the range 10° ≤ 2θ ≤ 80°, low angle first:
2theta, I (rel.)
21.37, 784
21.97, 294
26.83, 804
30.22, 954
30.63, 1000
30.83, 253
37.44, 177
43.53, 906
54.13, 386
72.11, 218

# 4
Theoretical X-ray diffraction stick pattern of ErCoTcP2 for a wavelength of 1.5418 Å, from DFT lattice parameters and positions (GGA-PBE).

```
ErCoTcP2
1.0
3.9404 0.0000 0.0000
0.0000 3.9404 0.0000
0.0000 0.0000 9.6184
Er Co Tc P
2 2 2 4
Direct
0.0000 0.0000 0.0000 Er
0.5000 0.5000 0.5000 Er
0.0000 0.5000 0.7500 Co
0.5000 0.0000 0.2500 Co
0.0000 0.5000 0.2500 Tc
0.5000 0.0000 0.7500 Tc
0.0000 0.0000 0.3743 P
0.0000 0.0000 0.6257 P
0.5000 0.5000 0.1257 P
0.5000 0.5000 0.8743 P
```

Principal peaks in the range 10° ≤ 2θ ≤ 80°, low angle first:
2theta, I (rel.)
24.41, 440
36.12, 460
37.30, 1000
37.40, 165
46.07, 381
52.97, 150
59.89, 210
60.78, 159
67.40, 173
79.47, 284

# 5
Theoretical X-ray diffraction stick pattern of PrEr4Al2 for a wavelength of 1.5418 Å, from DFT lattice parameters and positions (GGA-PBE).

```
PrEr4Al2
1.0
2.6520 1.5311 7.7815
-2.6520 1.5311 7.7815
0.0000 -3.0623 7.7815
Pr Er Al
1 4 2
Direct
0.0000 0.0000 0.0000 Pr
0.1545 0.1545 0.1545 Er
0.4210 0.4210 0.4210 Er
0.5790 0.5790 0.5790 Er
0.8455 0.8455 0.8455 Er
0.2820 0.2820 0.2820 Al
0.7180 0.7180 0.7180 Al
```

Principal peaks in the range 10° ≤ 2θ ≤ 80°, low angle first:
2theta, I (rel.)
11.37, 173
24.66, 116
27.23, 387
33.20, 905
33.80, 1000
48.10, 321
58.89, 320
60.08, 331
60.46, 188
79.72, 179